# RbCoCl3O2
Simulated PXRD pattern, Cu Kα (λ = 1.5418 Å). Input: a structure optimized by DFT (PBE+U).

Structural model:
a = 15.189 Å, b = 5.962 Å, c = 8.609 Å
α = 90.00°, β = 117.62°, γ = 90.00°
Space group C2/c (No. 15)
Symmetry-distinct sites (fractional):
Rb 0.250 0.250 0.000 (multiplicity 4)
Co 0.000 0.000 0.000 (multiplicity 4)
Cl 0.000 0.184 0.750 (multiplicity 4)
Cl 0.135 0.218 0.546 (multiplicity 8)
O 0.090 0.191 0.123 (multiplicity 8)

Main lines, most intense first (2θ = 15–90°):
2θ/deg	I_rel	hkl
16.26	100.0	1 1 0
33.31	66.0	5 1 -1
23.32	65.1	0 0 2
34.89	63.0	3 1 -3
18.14	42.7	1 1 -1
44.33	40.0	2 2 2
31.25	29.3	3 1 1
23.18	29.1	3 1 -1
32.86	26.1	2 2 0
47.39	25.5	6 2 -2